1.
The following is a calculated powder diffraction line list of ErGeIr. It was derived from DFT lattice parameters and positions (GGA-PBE), using λ = 1.5418 Å (Cu Kα).
Kinematic intensities with the Lorentz-polarization factor, no thermal factor.

Structure:
```
data_ErGeIr
_symmetry_space_group_name_H-M 'P n m a'
_symmetry_Int_Tables_number 62
_symmetry_space_group_name_Hall '-P 2ac 2n'
_cell_length_a 6.829
_cell_length_b 4.297
_cell_length_c 7.607
_cell_angle_alpha 90.00
_cell_angle_beta 90.00
_cell_angle_gamma 90.00
loop_
_atom_site_label
_atom_site_type_symbol
_atom_site_fract_x
_atom_site_fract_y
_atom_site_fract_z
_atom_site_occupancy
Er1 Er 0.005 0.250 0.192 1
Ge1 Ge 0.210 0.750 0.388 1
Ir1 Ir 0.162 0.250 0.564 1
```

Top 6 peaks for 2θ from 5° to 70°, by intensity:
hkl 2 1 1, 2θ = 35.60°, I = 100; hkl 1 1 2, 2θ = 34.11°, I = 86; hkl 0 1 3, 2θ = 41.33°, I = 76; hkl 0 2 0, 2θ = 42.05°, I = 55; hkl 3 0 1, 2θ = 41.40°, I = 46; hkl 3 1 4, 2θ = 67.82°, I = 40

***

2.
The following is a calculated powder diffraction line list of LaEr4Ge3. It was derived from DFT lattice parameters and positions (GGA-PBE), using λ = 1.5418 Å (Cu Kα).
Kinematic intensities with the Lorentz-polarization factor, no thermal factor.

Structure:
```
data_LaEr4Ge3
_symmetry_space_group_name_H-M 'P -3 1 m'
_symmetry_Int_Tables_number 162
_symmetry_space_group_name_Hall '-P 3 2'
_cell_length_a 8.5268
_cell_length_b 8.5268
_cell_length_c 6.4969
_cell_angle_alpha 90.00
_cell_angle_beta 90.00
_cell_angle_gamma 120.00
loop_
_atom_site_label
_atom_site_type_symbol
_atom_site_fract_x
_atom_site_fract_y
_atom_site_fract_z
_atom_site_occupancy
La1 La 0.3333 0.6667 0.0000 1
Er1 Er 0.0000 0.2414 0.2568 1
Er2 Er 0.3333 0.6667 0.5000 1
Ge1 Ge 0.0000 0.3893 0.7327 1
```

Top 6 peaks for 2θ from 5° to 70°, by intensity:
hkl 3 -1 1, 2θ = 34.99°, I = 100; hkl 2 -1 2, 2θ = 34.72°, I = 80; hkl 2 1 0, 2θ = 32.07°, I = 38; hkl 3 0 0, 2θ = 36.50°, I = 37; hkl 1 0 2, 2θ = 30.05°, I = 34; hkl 3 -1 3, 2θ = 53.56°, I = 29